Theoretical powder X-ray diffraction pattern of RbAc2SbS6 for λ = 1.5418 Å (Cu Kα), from the PBE geometry in Alexandria.
Intensities are scaled so that the largest is 100.

Peak list (10 most intense, 2θ = 15–90°, low angle first)
| 2theta | Rel. int. |
| --- | --- |
| 16.39 | 74.1 |
| 22.17 | 65.9 |
| 24.30 | 100.0 |
| 25.69 | 30.7 |
| 33.13 | 33.9 |
| 35.72 | 93.9 |
| 41.51 | 26.9 |
| 42.77 | 37.3 |
| 50.61 | 25.0 |
| 56.90 | 23.5 |

Structural model:
```
data_RbAc2SbS6
_chemical_formula_sum 'Rb3 Ac6 Sb3 S18'
_space_group_name_H-M_alt 'R 3'
_space_group_IT_number 146
_space_group_name_Hall 'R 3'
_cell_length_a 7.3247
_cell_length_b 7.3247
_cell_length_c 20.7022
_cell_angle_alpha 90.00
_cell_angle_beta 90.00
_cell_angle_gamma 120.00
loop_
_atom_site_label
_atom_site_fract_x
_atom_site_fract_y
_atom_site_fract_z
_atom_site_occupancy
Rb1 0.0000 0.0000 0.0000 1
Ac1 0.0000 0.0000 0.2602 1
Ac2 0.0000 0.0000 0.7897 1
Sb1 0.0000 0.0000 0.6067 1
S1 0.0255 0.3911 0.2037 1
S2 0.1174 0.7596 0.3494 1
```